Record 1
Simulated X-ray diffraction stick pattern of ZnCdGaAu for Cu Kα, 1.54184 Å, from the GGA-PBE geometry in Alexandria.
Peak positions follow from Bragg's law for the DFT cell and can differ from measured ones.

Principal peaks in the range 10 to 90 degrees two-theta, in order of rising 2θ:
22.93°, I = 20, (1 1 1)
26.53°, I = 4, (2 0 0)
37.88°, I = 100, (2 2 0)
44.74°, I = 11, (3 1 1)
46.84°, I = 1, (2 2 2)
54.64°, I = 17, (4 0 0)
60.02°, I = 5, (3 3 1)
61.75°, I = 2, (4 2 0)
68.41°, I = 34, (4 2 2)
73.20°, I = 4, (5 1 1)
80.95°, I = 11, (4 4 0)
85.50°, I = 4, (5 3 1)

Cell and atoms:
```
data_ZnCdGaAu
_cell_length_a 6.719
_cell_length_b 6.719
_cell_length_c 6.719
_cell_angle_alpha 90.00
_cell_angle_beta 90.00
_cell_angle_gamma 90.00
_symmetry_space_group_name_H-M 'F -4 3 m'
_symmetry_Int_Tables_number 216
_symmetry_space_group_name_Hall 'F -4 2 3'
loop_
_atom_site_label
_atom_site_fract_x
_atom_site_fract_y
_atom_site_fract_z
_atom_site_occupancy
Zn1 0.000 0.000 0.000 1
Cd1 0.250 0.250 0.750 1
Ga1 0.250 0.250 0.250 1
Au1 0.000 0.000 0.500 1
```

=====

Record 2
Simulated X-ray diffraction stick pattern of ZrCd2GaAu for Cu Kα, 1.54184 Å, from the GGA-PBE geometry in Alexandria.
Peak positions follow from Bragg's law for the DFT cell and can differ from measured ones.

Principal peaks in the range 10 to 90 degrees two-theta, in order of rising 2θ:
15.52°, I = 56, (1 0 0)
27.98°, I = 100, (1 1 1)
31.33°, I = 80, (2 0 0)
34.50°, I = 31, (0 0 2)
35.14°, I = 16, (2 1 0)
44.89°, I = 29, (2 2 0)
47.28°, I = 50, (2 0 2)
53.73°, I = 32, (3 1 1)
57.84°, I = 40, (2 2 2)
74.27°, I = 13, (4 2 0)
76.09°, I = 23, (4 0 2)
84.54°, I = 18, (4 2 2)

Cell and atoms:
```
data_ZrCd2GaAu
_cell_length_a 5.711
_cell_length_b 5.711
_cell_length_c 5.200
_cell_angle_alpha 90.00
_cell_angle_beta 90.00
_cell_angle_gamma 90.00
_symmetry_space_group_name_H-M 'P 4/m m m'
_symmetry_Int_Tables_number 123
_symmetry_space_group_name_Hall '-P 4 2'
loop_
_atom_site_label
_atom_site_fract_x
_atom_site_fract_y
_atom_site_fract_z
_atom_site_occupancy
Zr1 0.000 0.000 0.000 1
Cd1 0.000 0.500 0.000 1
Ga1 0.500 0.500 0.500 1
Au1 0.000 0.000 0.500 1
```

=====

Record 3
Simulated X-ray diffraction stick pattern of K2CdGeAu6 for Cu Kα, 1.54184 Å, from the GGA-PBE geometry in Alexandria.
Peak positions follow from Bragg's law for the DFT cell and can differ from measured ones.

Principal peaks in the range 10 to 90 degrees two-theta, in order of rising 2θ:
14.31°, I = 100, (0 0 3)
17.42°, I = 43, (0 1 2)
28.15°, I = 37, (0 1 5)
30.91°, I = 60, (2 0 2)
35.26°, I = 41, (0 2 4)
38.23°, I = 47, (2 0 5)
39.46°, I = 38, (2 1 1)
40.38°, I = 45, (1 2 2)
43.91°, I = 32, (0 0 9)
45.35°, I = 27, (0 2 7)
47.12°, I = 37, (0 3 3)
54.04°, I = 32, (3 0 6)

Cell and atoms:
```
data_K2CdGeAu6
_cell_length_a 7.0308
_cell_length_b 7.0308
_cell_length_c 18.5642
_cell_angle_alpha 90.00
_cell_angle_beta 90.00
_cell_angle_gamma 120.00
_symmetry_space_group_name_H-M 'R -3 m'
_symmetry_Int_Tables_number 166
_symmetry_space_group_name_Hall '-R 3 2"'
loop_
_atom_site_label
_atom_site_fract_x
_atom_site_fract_y
_atom_site_fract_z
_atom_site_occupancy
K1 0.0000 0.0000 0.2065 1
Cd1 0.0000 0.0000 0.5000 1
Ge1 0.0000 0.0000 0.0000 1
Au1 0.0656 0.5328 0.2895 1
```